The following is a theoretical powder XRD pattern of LiMg6CrO8. It was derived from a PBE+U-relaxed structure, using CuKα.

Largest 12 diffraction maxima, by intensity, 2θ from 10° to 90°:
| two_theta | I (rel.) | hkl |
| --- | --- | --- |
| 43.0 | 100 | 2 0 0 |
| 61.8 | 57 | 2 0 4 |
| 42.2 | 53 | 0 0 4 |
| 62.5 | 28 | 2 2 0 |
| 23.6 | 26 | 1 0 1 |
| 78.3 | 25 | 2 2 4 |
| 36.8 | 19 | 1 1 2 |
| 21.1 | 14 | 1 0 0 |
| 29.8 | 12 | 1 0 2 |
| 74.8 | 8 | 3 1 2 |
| 49.6 | 6 | 2 1 1 |
| 73.6 | 4 | 1 1 6 |

Cell and atoms:
```
data_LiMg6CrO8
_cell_length_a 4.204
_cell_length_b 4.204
_cell_length_c 8.567
_cell_angle_alpha 90.00
_cell_angle_beta 90.00
_cell_angle_gamma 90.00
_space_group_name_H-M_alt 'P 4/m m m'
_space_group_IT_number 123
_space_group_name_Hall '-P 4 2'
loop_
_atom_site_label
_atom_site_fract_x
_atom_site_fract_y
_atom_site_fract_z
Li1 0.000 0.000 0.000
Mg1 0.000 0.000 0.500
Mg2 0.000 0.500 0.246
Mg3 0.500 0.500 0.500
Cr1 0.500 0.500 0.000
O1 0.000 0.000 0.257
O2 0.000 0.500 0.000
O3 0.000 0.500 0.500
O4 0.500 0.500 0.239
```

=====

The following is a theoretical powder XRD pattern of LiMg14CrO16. It was derived from a PBE+U-relaxed structure, using CuKα.

Largest 12 diffraction maxima, by intensity, 2θ from 10° to 90°:
| two_theta | I (rel.) | hkl |
| --- | --- | --- |
| 42.4 | 100 | 4 0 0 |
| 61.8 | 55 | 4 0 2 |
| 42.7 | 50 | 0 0 2 |
| 61.6 | 28 | 4 4 0 |
| 77.9 | 25 | 4 4 2 |
| 36.6 | 17 | 2 2 1 |
| 10.4 | 15 | 1 0 0 |
| 31.6 | 8 | 2 1 1 |
| 73.8 | 7 | 6 2 1 |
| 23.3 | 7 | 2 1 0 |
| 23.5 | 6 | 1 0 1 |
| 74.3 | 4 | 2 2 3 |

Cell and atoms:
```
data_LiMg14CrO16
_cell_length_a 8.521
_cell_length_b 8.521
_cell_length_c 4.231
_cell_angle_alpha 90.00
_cell_angle_beta 90.00
_cell_angle_gamma 90.00
_space_group_name_H-M_alt 'P 4/m m m'
_space_group_IT_number 123
_space_group_name_Hall '-P 4 2'
loop_
_atom_site_label
_atom_site_fract_x
_atom_site_fract_y
_atom_site_fract_z
Li1 0.000 0.000 0.000
Mg1 0.000 0.242 0.500
Mg2 0.000 0.500 0.000
Mg3 0.243 0.243 0.000
Mg4 0.245 0.500 0.500
Cr1 0.500 0.500 0.000
O1 0.000 0.000 0.500
O2 0.000 0.261 0.000
O3 0.000 0.500 0.500
O4 0.252 0.252 0.500
O5 0.261 0.500 0.000
O6 0.500 0.500 0.500
```

=====

The following is a theoretical powder XRD pattern of LiMg6CrO8. It was derived from a PBE+U-relaxed structure, using CuKα.

Largest 12 diffraction maxima, by intensity, 2θ from 10° to 90°:
| two_theta | I (rel.) | hkl |
| --- | --- | --- |
| 42.9 | 100 | 2 0 0 |
| 61.6 | 54 | 2 0 4 |
| 42.0 | 51 | 0 0 4 |
| 62.3 | 34 | 2 2 0 |
| 10.3 | 30 | 0 0 1 |
| 23.5 | 25 | 1 0 1 |
| 78.0 | 24 | 2 2 4 |
| 36.7 | 18 | 1 1 2 |
| 31.8 | 16 | 1 1 1 |
| 74.6 | 7 | 3 1 2 |
| 49.5 | 6 | 2 1 1 |
| 31.2 | 4 | 0 0 3 |

Cell and atoms:
```
data_LiMg6CrO8
_cell_length_a 4.213
_cell_length_b 4.213
_cell_length_c 8.605
_cell_angle_alpha 90.00
_cell_angle_beta 90.00
_cell_angle_gamma 90.00
_space_group_name_H-M_alt 'P 4/m m m'
_space_group_IT_number 123
_space_group_name_Hall '-P 4 2'
loop_
_atom_site_label
_atom_site_fract_x
_atom_site_fract_y
_atom_site_fract_z
Li1 0.000 0.000 0.000
Mg1 0.000 0.500 0.236
Mg2 0.500 0.500 0.000
Mg3 0.500 0.500 0.500
Cr1 0.000 0.000 0.500
O1 0.000 0.000 0.269
O2 0.000 0.500 0.000
O3 0.000 0.500 0.500
O4 0.500 0.500 0.254
```

=====

The following is a theoretical powder XRD pattern of LiMgCr3S6O24. It was derived from a PBE+U-relaxed structure, using CuKα.

Largest 12 diffraction maxima, by intensity, 2θ from 10° to 90°:
| two_theta | I (rel.) | hkl |
| --- | --- | --- |
| 24.5 | 100 | 2 1 2 |
| 14.6 | 71 | 1 0 1 |
| 20.0 | 51 | 1 1 2 |
| 24.4 | 50 | -1 1 1 |
| 29.4 | 31 | 2 0 2 |
| 32.2 | 30 | 1 2 -1 |
| 32.1 | 27 | -1 1 2 |
| 29.5 | 15 | 2 2 0 |
| 23.8 | 13 | 0 0 2 |
| 37.3 | 10 | 3 0 1 |
| 39.2 | 10 | 0 3 0 |
| 52.8 | 10 | 1 3 -2 |

Cell and atoms:
```
data_LiMgCr3S6O24
_cell_length_a 8.315
_cell_length_b 8.326
_cell_length_c 8.879
_cell_angle_alpha 62.18
_cell_angle_beta 62.34
_cell_angle_gamma 60.40
_space_group_name_H-M_alt 'P 1'
_space_group_IT_number 1
loop_
_space_group_symop_operation_xyz
'x,y,z'
loop_
_atom_site_label
_atom_site_fract_x
_atom_site_fract_y
_atom_site_fract_z
Li1 0.000 0.000 0.000
Mg1 0.399 0.719 0.921
Cr1 0.088 0.429 0.820
Cr2 0.590 0.926 0.311
Cr3 0.880 0.221 0.440
S1 0.193 0.119 0.622
S2 0.274 0.045 0.121
S3 0.491 0.531 0.622
S4 0.701 0.320 0.124
S5 0.777 0.830 0.622
S6 0.985 0.614 0.121
O1 0.128 0.072 0.292
O2 0.185 0.596 0.076
O3 0.200 0.936 0.774
O4 0.220 0.258 0.661
O5 0.241 0.916 0.074
O6 0.261 0.235 0.976
O7 0.286 0.559 0.662
O8 0.345 0.084 0.455
O9 0.470 0.955 0.140
O10 0.520 0.549 0.763
O11 0.539 0.680 0.447
O12 0.574 0.520 0.076
O13 0.589 0.859 0.761
O14 0.619 0.336 0.600
O15 0.623 0.184 0.140
O16 0.730 0.267 0.295
O17 0.755 0.876 0.447
O18 0.854 0.815 0.137
O19 0.867 0.959 0.599
O20 0.897 0.283 0.979
O21 0.914 0.625 0.664
O22 0.928 0.472 0.293
O23 0.951 0.600 0.977
O24 0.998 0.207 0.599
```

=====

The following is a theoretical powder XRD pattern of LiMgCr3Se2S4O24. It was derived from a PBE+U-relaxed structure, using CuKα.

Largest 12 diffraction maxima, by intensity, 2θ from 10° to 90°:
| two_theta | I (rel.) | hkl |
| --- | --- | --- |
| 24.1 | 100 | 1 -1 1 |
| 14.4 | 56 | 1 0 1 |
| 24.3 | 47 | 1 2 2 |
| 29.0 | 36 | 2 2 0 |
| 31.7 | 36 | 2 1 -1 |
| 23.5 | 17 | 0 0 2 |
| 31.9 | 17 | 1 2 3 |
| 19.7 | 16 | 0 1 -1 |
| 19.9 | 15 | 1 1 2 |
| 36.8 | 12 | 3 0 1 |
| 41.6 | 10 | 1 -1 3 |
| 32.6 | 9 | 3 1 1 |

Cell and atoms:
```
data_LiMgCr3Se2S4O24
_cell_length_a 8.422
_cell_length_b 8.431
_cell_length_c 8.952
_cell_angle_alpha 62.57
_cell_angle_beta 62.50
_cell_angle_gamma 60.51
_space_group_name_H-M_alt 'P 1'
_space_group_IT_number 1
loop_
_space_group_symop_operation_xyz
'x,y,z'
loop_
_atom_site_label
_atom_site_fract_x
_atom_site_fract_y
_atom_site_fract_z
Li1 0.000 0.000 0.000
Mg1 0.280 0.609 0.066
Cr1 0.067 0.411 0.696
Cr2 0.578 0.914 0.174
Cr3 0.778 0.111 0.564
Se1 0.170 0.224 0.374
Se2 0.469 0.508 0.376
S1 0.384 0.017 0.880
S2 0.680 0.297 0.874
S3 0.883 0.804 0.377
S4 0.952 0.726 0.881
O1 0.037 0.113 0.397
O2 0.038 0.532 0.865
O3 0.063 0.800 0.227
O4 0.081 0.760 0.924
O5 0.118 0.240 0.573
O6 0.125 0.432 0.221
O7 0.184 0.148 0.868
O8 0.309 0.459 0.574
O9 0.399 0.821 0.925
O10 0.400 0.080 0.332
O11 0.404 0.049 0.021
O12 0.433 0.737 0.334
O13 0.450 0.467 0.223
O14 0.482 0.422 0.922
O15 0.525 0.070 0.709
O16 0.688 0.369 0.395
O17 0.720 0.104 0.016
O18 0.731 0.266 0.706
O19 0.748 0.779 0.334
O20 0.765 0.740 0.024
O21 0.791 0.994 0.406
O22 0.812 0.376 0.859
O23 0.918 0.651 0.541
O24 0.925 0.868 0.711
```

=====

The following is a theoretical powder XRD pattern of Li4Mn2Nb3Cr3O16. It was derived from a PBE+U-relaxed structure, using CuKα.

Largest 12 diffraction maxima, by intensity, 2θ from 10° to 90°:
| two_theta | I (rel.) | hkl |
| --- | --- | --- |
| 17.7 | 100 | 0 0 2 |
| 18.9 | 53 | 1 1 1 |
| 35.0 | 49 | 2 2 -1 |
| 43.5 | 42 | 2 2 3 |
| 34.4 | 33 | 3 1 2 |
| 19.0 | 32 | 2 0 1 |
| 57.5 | 32 | 2 2 5 |
| 31.6 | 31 | 1 1 -3 |
| 24.4 | 28 | 2 0 -2 |
| 60.8 | 26 | 6 2 0 |
| 38.4 | 25 | 2 2 2 |
| 35.3 | 23 | 4 0 -1 |

Cell and atoms:
```
data_Li4Mn2Nb3Cr3O16
_cell_length_a 10.525
_cell_length_b 6.142
_cell_length_c 10.049
_cell_angle_alpha 90.00
_cell_angle_beta 90.14
_cell_angle_gamma 90.00
_space_group_name_H-M_alt 'C 1 m 1'
_space_group_IT_number 8
loop_
_space_group_symop_operation_xyz
'x,y,z'
'x,-y,z'
'x+1/2,y+1/2,z'
'x+1/2,-y+1/2,z'
loop_
_atom_site_label
_atom_site_fract_x
_atom_site_fract_y
_atom_site_fract_z
Li1 0.000 0.000 0.000
Li2 0.002 0.000 0.487
Li3 0.173 0.500 0.118
Li4 0.342 0.000 0.588
Mn1 0.181 0.500 0.475
Mn2 0.353 0.000 0.010
Nb1 0.097 0.252 0.776
Nb2 0.180 0.000 0.275
Cr1 0.343 0.500 0.776
Cr2 0.425 0.248 0.276
O1 0.009 0.000 0.178
O2 0.009 0.000 0.674
O3 0.023 0.500 0.667
O4 0.089 0.230 0.388
O5 0.168 0.000 0.887
O6 0.175 0.500 0.887
O7 0.249 0.270 0.664
O8 0.263 0.225 0.160
O9 0.341 0.000 0.387
O10 0.354 0.500 0.383
O11 0.435 0.267 0.883
O12 0.492 0.000 0.163
```